# Si23Sb3
Calculated PXRD pattern, Cu Ka. Input: a crystal structure in Alexandria, relaxed with PBE.
Neutral-atom scattering factors, no anomalous dispersion.

Atomic structure:
Cell: 10.1813 10.1813 10.1813 Å, 90.00 90.00 90.00°
Sites, in units of the cell vectors:
1 Si 0.0000 0.1163 0.3100
2 Si 0.0000 0.1163 0.6900
3 Si 0.0000 0.2500 0.5000
4 Si 0.0000 0.7500 0.5000
5 Si 0.0000 0.8837 0.3100
6 Si 0.0000 0.8837 0.6900
7 Si 0.1163 0.3100 0.0000
8 Si 0.1163 0.6900 0.0000
9 Si 0.1842 0.1842 0.1842
10 Si 0.1842 0.1842 0.8158
11 Si 0.1842 0.8158 0.1842
12 Si 0.1842 0.8158 0.8158
13 Si 0.1900 0.3837 0.5000
14 Si 0.1900 0.6163 0.5000
15 Si 0.2500 0.5000 0.0000
16 Si 0.3100 0.0000 0.1163
17 Si 0.3100 0.0000 0.8837
18 Si 0.3158 0.3158 0.3158
19 Si 0.3158 0.3158 0.6842
20 Si 0.3158 0.6842 0.3158
21 Si 0.3158 0.6842 0.6842
22 Si 0.3837 0.5000 0.1900
23 Si 0.3837 0.5000 0.8100
24 Si 0.5000 0.0000 0.2500
25 Si 0.5000 0.0000 0.7500
26 Si 0.5000 0.1900 0.3837
27 Si 0.5000 0.1900 0.6163
28 Si 0.5000 0.8100 0.3837
29 Si 0.5000 0.8100 0.6163
30 Si 0.6163 0.5000 0.1900
31 Si 0.6163 0.5000 0.8100
32 Si 0.6842 0.3158 0.3158
33 Si 0.6842 0.3158 0.6842
34 Si 0.6842 0.6842 0.3158
35 Si 0.6842 0.6842 0.6842
36 Si 0.6900 0.0000 0.1163
37 Si 0.6900 0.0000 0.8837
38 Si 0.7500 0.5000 0.0000
39 Si 0.8100 0.3837 0.5000
40 Si 0.8100 0.6163 0.5000
41 Si 0.8158 0.1842 0.1842
42 Si 0.8158 0.1842 0.8158
43 Si 0.8158 0.8158 0.1842
44 Si 0.8158 0.8158 0.8158
45 Si 0.8837 0.3100 0.0000
46 Si 0.8837 0.6900 0.0000
47 Sb 0.0000 0.5000 0.2500
48 Sb 0.0000 0.5000 0.7500
49 Sb 0.2500 0.0000 0.5000
50 Sb 0.5000 0.2500 0.0000
51 Sb 0.5000 0.7500 0.0000
52 Sb 0.7500 0.0000 0.5000

The 10 most intense peaks (2θ from 10° to 80°), most intense first:
2θ = 32.92°, rel. 100, hkl 3 2 1; 2θ = 31.69°, rel. 95, hkl 3 2 0; 2θ = 30.41°, rel. 94, hkl 2 2 2; 2θ = 52.40°, rel. 59, hkl 5 3 0; 2θ = 19.50°, rel. 50, hkl 2 1 0; 2θ = 55.65°, rel. 42, hkl 5 3 2; 2θ = 12.29°, rel. 39, hkl 1 1 0; 2θ = 35.26°, rel. 30, hkl 4 0 0; 2θ = 48.13°, rel. 26, hkl 5 2 0; 2θ = 27.71°, rel. 26, hkl 3 1 0